[1]
CaTiNbInO6: computed PXRD pattern (Cu Kα (λ = 1.5418 Å)), based on a crystal structure in the Materials Project, relaxed with PBE.
Intensities are scaled so that the largest is 100.

Structural model:
```
data_CaTiNbInO6
_space_group_name_H-M_alt 'F -4 3 m'
_space_group_IT_number 216
_space_group_name_Hall 'F -4 2 3'
_cell_length_a 8.006
_cell_length_b 8.006
_cell_length_c 8.006
_cell_angle_alpha 90.00
_cell_angle_beta 90.00
_cell_angle_gamma 90.00
loop_
_atom_site_label
_atom_site_fract_x
_atom_site_fract_y
_atom_site_fract_z
Ca1 0.000 0.000 0.000
Ti1 0.250 0.250 0.750
Nb1 0.250 0.250 0.250
In1 0.000 0.000 0.500
O1 0.002 0.250 0.750
```

Top 10 peaks for 15 to 90 degrees two-theta, most intense first:
hkl	2theta	d (Å)	I_rel
2 2 0	31.61	2.831	100
4 0 0	45.31	2.001	38
4 2 2	56.29	1.634	38
1 1 1	19.20	4.622	23
4 4 0	66.01	1.415	22
6 2 0	75.04	1.266	16
3 1 1	37.25	2.414	14
4 4 4	83.69	1.156	7
2 2 2	38.97	2.311	7
3 3 1	49.64	1.837	6

---

[2]
CaZrNbInO6: computed PXRD pattern (Cu Kα (λ = 1.5418 Å)), based on a crystal structure in the Materials Project, relaxed with PBE.
Intensities are scaled so that the largest is 100.

Structural model:
```
data_CaZrNbInO6
_space_group_name_H-M_alt 'F -4 3 m'
_space_group_IT_number 216
_space_group_name_Hall 'F -4 2 3'
_cell_length_a 8.260
_cell_length_b 8.260
_cell_length_c 8.260
_cell_angle_alpha 90.00
_cell_angle_beta 90.00
_cell_angle_gamma 90.00
loop_
_atom_site_label
_atom_site_fract_x
_atom_site_fract_y
_atom_site_fract_z
Ca1 0.000 0.000 0.000
Zr1 0.250 0.250 0.750
Nb1 0.250 0.250 0.250
In1 0.000 0.000 0.500
O1 0.006 0.250 0.250
```

Top 10 peaks for 15 to 90 degrees two-theta, most intense first:
hkl	2theta	d (Å)	I_rel
2 2 0	30.61	2.920	100
4 2 2	54.42	1.686	39
4 0 0	43.84	2.065	36
4 4 0	63.74	1.460	21
6 4 2	88.60	1.104	20
6 2 0	72.36	1.306	16
1 1 1	18.61	4.769	12
3 1 1	36.06	2.490	7
4 4 4	80.58	1.192	7
2 0 0	21.52	4.130	6

---

[3]
CaIn2Ni: computed PXRD pattern (Cu Kα (λ = 1.5418 Å)), based on a crystal structure in the Materials Project, relaxed with PBE.
Intensities are scaled so that the largest is 100.

Structural model:
```
data_CaIn2Ni
_space_group_name_H-M_alt 'C m c m'
_space_group_IT_number 63
_space_group_name_Hall '-C 2c 2'
_cell_length_a 4.375
_cell_length_b 10.397
_cell_length_c 7.689
_cell_angle_alpha 90.00
_cell_angle_beta 90.00
_cell_angle_gamma 90.00
loop_
_atom_site_label
_atom_site_fract_x
_atom_site_fract_y
_atom_site_fract_z
Ca1 0.000 0.064 0.250
In1 0.000 0.351 0.053
Ni1 0.000 0.219 0.750
```

Top 10 peaks for 15 to 90 degrees two-theta, most intense first:
hkl	2theta	d (Å)	I_rel
1 1 2	32.17	2.783	100
1 1 3	41.76	2.163	78
1 3 2	40.67	2.219	76
1 3 0	32.97	2.717	71
2 0 0	41.27	2.187	55
0 2 0	17.06	5.198	44
1 3 1	35.03	2.561	43
0 2 3	39.19	2.299	41
1 1 0	22.04	4.032	37
0 4 2	41.96	2.153	35

---

[4]
CaIn4Ni: computed PXRD pattern (Cu Kα (λ = 1.5418 Å)), based on a crystal structure in the Materials Project, relaxed with PBE.
Intensities are scaled so that the largest is 100.

Structural model:
```
data_CaIn4Ni
_space_group_name_H-M_alt 'C 1 m 1'
_space_group_IT_number 8
_cell_length_a 16.526
_cell_length_b 4.325
_cell_length_c 7.141
_cell_angle_alpha 90.00
_cell_angle_beta 90.00
_cell_angle_gamma 90.00
loop_
_space_group_symop_operation_xyz
'x,y,z'
'x,-y,z'
'x+1/2,y+1/2,z'
'x+1/2,-y+1/2,z'
loop_
_atom_site_label
_atom_site_fract_x
_atom_site_fract_y
_atom_site_fract_z
Ca1 0.000 0.000 0.000
Ca2 0.248 0.000 0.500
In1 0.049 0.000 0.500
In2 0.123 0.500 0.250
In3 0.125 0.500 0.750
In4 0.193 0.000 0.000
In5 0.306 0.500 0.796
In6 0.312 0.500 0.207
In7 0.436 0.000 0.293
In8 0.436 0.000 0.707
Ni1 0.348 0.000 0.000
Ni2 0.400 0.500 0.500
```

Top 10 peaks for 15 to 90 degrees two-theta, most intense first:
hkl	2theta	d (Å)	I_rel
1 1 -2	32.98	2.716	100
5 1 0	34.14	2.626	58
6 0 2	41.40	2.181	38
0 2 0	41.77	2.163	37
5 1 -1	36.46	2.464	31
2 0 -1	16.41	5.403	31
1 1 -3	43.74	2.070	30
5 1 2	42.74	2.116	24
6 2 2	60.27	1.536	24
0 2 4	68.07	1.377	17

---

[5]
CaIn4Ni: computed PXRD pattern (Cu Kα (λ = 1.5418 Å)), based on a crystal structure in the Materials Project, relaxed with PBE.
Intensities are scaled so that the largest is 100.

Structural model:
```
data_CaIn4Ni
_space_group_name_H-M_alt 'C m c m'
_space_group_IT_number 63
_space_group_name_Hall '-C 2c 2'
_cell_length_a 4.517
_cell_length_b 16.765
_cell_length_c 7.312
_cell_angle_alpha 90.00
_cell_angle_beta 90.00
_cell_angle_gamma 90.00
loop_
_atom_site_label
_atom_site_fract_x
_atom_site_fract_y
_atom_site_fract_z
Ca1 0.000 0.124 0.250
In1 0.000 0.073 0.750
In2 0.000 0.312 0.047
In3 0.000 0.500 0.000
Ni1 0.000 0.226 0.750
```

Top 10 peaks for 15 to 90 degrees two-theta, most intense first:
hkl	2theta	d (Å)	I_rel
1 1 2	31.94	2.802	100
1 5 0	33.28	2.692	62
2 0 0	39.92	2.259	38
0 6 2	40.64	2.220	35
0 2 1	16.08	5.510	31
1 5 1	35.51	2.528	29
1 1 3	42.49	2.128	25
2 6 2	58.28	1.583	24
1 5 2	41.66	2.168	22
0 0 4	49.87	1.829	14

---

[6]
Ca3In4Ni8: computed PXRD pattern (Cu Kα (λ = 1.5418 Å)), based on a crystal structure in the Materials Project, relaxed with PBE.
Intensities are scaled so that the largest is 100.

Structural model:
```
data_Ca3In4Ni8
_space_group_name_H-M_alt 'P 63 m c'
_space_group_IT_number 186
_space_group_name_Hall 'P 6c -2c'
_cell_length_a 8.9812
_cell_length_b 8.9812
_cell_length_c 7.5441
_cell_angle_alpha 90.00
_cell_angle_beta 90.00
_cell_angle_gamma 120.00
loop_
_atom_site_label
_atom_site_fract_x
_atom_site_fract_y
_atom_site_fract_z
Ca1 0.0592 0.5296 0.0000
In1 0.1693 0.3386 0.6964
In2 0.3333 0.6667 0.3403
Ni1 0.0000 0.0000 0.2680
Ni2 0.0980 0.1960 0.0156
Ni3 0.1602 0.3204 0.3282
Ni4 0.3333 0.6667 0.6942
```

Top 10 peaks for 15 to 90 degrees two-theta, most intense first:
hkl	2theta	d (Å)	I_rel
2 2 0	40.16	2.245	100
2 2 2	47.10	1.929	48
1 0 3	37.59	2.393	43
2 0 2	33.08	2.708	40
2 1 3	47.58	1.911	39
2 0 3	42.82	2.112	34
3 1 1	43.64	2.074	26
2 0 1	25.77	3.457	26
3 2 3	63.98	1.455	25
2 0 0	22.87	3.889	24

---

[7]
CaInO3: computed PXRD pattern (Cu Kα (λ = 1.5418 Å)), based on a crystal structure in the Materials Project, relaxed with PBE.
Intensities are scaled so that the largest is 100.

Structural model:
```
data_CaInO3
_space_group_name_H-M_alt 'P m -3 m'
_space_group_IT_number 221
_space_group_name_Hall '-P 4 2 3'
_cell_length_a 4.163
_cell_length_b 4.163
_cell_length_c 4.163
_cell_angle_alpha 90.00
_cell_angle_beta 90.00
_cell_angle_gamma 90.00
loop_
_atom_site_label
_atom_site_fract_x
_atom_site_fract_y
_atom_site_fract_z
Ca1 0.000 0.000 0.000
In1 0.500 0.500 0.500
O1 0.000 0.500 0.500
```

Top 10 peaks for 15 to 90 degrees two-theta, most intense first:
hkl	2theta	d (Å)	I_rel
1 1 0	30.37	2.944	100
1 0 0	21.34	4.163	50
2 1 1	53.95	1.699	39
2 0 0	43.48	2.081	38
2 2 0	63.18	1.472	22
2 1 0	48.93	1.862	21
3 2 1	87.73	1.113	19
3 1 0	71.70	1.316	16
3 0 0	67.50	1.388	10
2 2 2	79.81	1.202	7

---

[8]
Ca2In2O5: computed PXRD pattern (Cu Kα (λ = 1.5418 Å)), based on a crystal structure in the Materials Project, relaxed with PBE.
Intensities are scaled so that the largest is 100.

Structural model:
```
data_Ca2In2O5
_space_group_name_H-M_alt 'P n m a'
_space_group_IT_number 62
_cell_length_a 5.918
_cell_length_b 15.160
_cell_length_c 5.896
_cell_angle_alpha 90.00
_cell_angle_beta 90.00
_cell_angle_gamma 90.00
loop_
_space_group_symop_operation_xyz
'x,y,z'
'-x,-y,-z'
'-x+1/2,-y,z+1/2'
'x+1/2,y,-z+1/2'
'x+1/2,-y+1/2,-z+1/2'
'-x+1/2,y+1/2,z+1/2'
'-x,y+1/2,-z'
'x,-y+1/2,z'
loop_
_atom_site_label
_atom_site_fract_x
_atom_site_fract_y
_atom_site_fract_z
Ca1 0.058 0.112 0.019
In1 0.000 0.000 0.500
In2 0.070 0.250 0.548
O1 0.060 0.640 0.613
O2 0.075 0.750 0.118
O3 0.197 0.530 0.194
```

Top 10 peaks for 15 to 90 degrees two-theta, most intense first:
hkl	2theta	d (Å)	I_rel
1 4 1	31.88	2.807	100
1 0 1	21.27	4.177	45
0 0 2	30.32	2.948	33
2 0 0	30.20	2.959	30
1 4 3	54.86	1.674	25
2 0 2	43.32	2.088	22
0 4 0	23.47	3.790	22
0 8 2	57.81	1.595	19
3 3 1	52.13	1.754	14
1 3 1	27.71	3.220	14